No. 1
The following is a computed X-ray powder pattern of BaB12H12. It was derived from a DFT-relaxed cell (PBE, the Materials Project), using CuKα.
Kinematic intensities with the Lorentz-polarization factor, no thermal factor.

Most intense lines, 2θ = 10–90°, by angle:
d 6.418, rel. 100
d 5.985, rel. 56
d 5.656, rel. 93
d 3.705, rel. 44
d 3.389, rel. 46
d 3.151, rel. 56
d 3.100, rel. 42
d 2.377, rel. 50

Cell and atoms:
```
BaB12H12
1.0
7.4109 0.0000 0.0000
-3.7054 6.4180 0.0000
0.0000 0.0000 11.9705
Ba B H
2 24 24
Direct
0.3333 0.6667 0.0000 Ba
0.6667 0.3333 0.5000 Ba
0.0881 0.4741 0.3482 B
0.1394 0.7189 0.4018 B
0.1816 0.5467 0.4870 B
0.2144 0.6995 0.2631 B
0.2811 0.4206 0.4018 B
0.3005 0.5149 0.2631 B
0.3652 0.8184 0.4870 B
0.3861 0.9119 0.3482 B
0.4206 0.2811 0.9018 B
0.4533 0.6348 0.4870 B
0.4741 0.0881 0.8482 B
0.4851 0.7856 0.2631 B
0.5149 0.3005 0.7631 B
0.5259 0.6139 0.3482 B
0.5467 0.1816 0.9870 B
0.5794 0.8606 0.4018 B
0.6139 0.5259 0.8482 B
0.6348 0.4533 0.9870 B
0.6995 0.2144 0.7631 B
0.7189 0.1394 0.9018 B
0.7856 0.4851 0.7631 B
0.8184 0.3652 0.9870 B
0.8606 0.5794 0.9018 B
0.9119 0.3861 0.8482 B
0.0020 0.7566 0.4207 H
0.0752 0.4613 0.5677 H
0.0851 0.4222 0.8256 H
0.1281 0.7237 0.1838 H
0.2434 0.2454 0.4207 H
0.2454 0.2434 0.9207 H
0.2763 0.4044 0.1838 H
0.3371 0.9149 0.8256 H
0.3860 0.9248 0.5677 H
0.4044 0.2763 0.6838 H
0.4222 0.0851 0.3256 H
0.4613 0.0752 0.0677 H
0.5387 0.6140 0.5677 H
0.5778 0.6629 0.8256 H
0.5956 0.8719 0.1838 H
0.6140 0.5387 0.0677 H
0.6629 0.5778 0.3256 H
0.7237 0.1281 0.6838 H
0.7546 0.9980 0.4207 H
0.7566 0.0020 0.9207 H
0.8719 0.5956 0.6838 H
0.9149 0.3371 0.3256 H
0.9248 0.3860 0.0677 H
0.9980 0.7546 0.9207 H
```

No. 2
The following is a computed X-ray powder pattern of SnHgO3. It was derived from a DFT-relaxed cell (PBE, the Materials Project), using CuKα.
Kinematic intensities with the Lorentz-polarization factor, no thermal factor.

Most intense lines, 2θ = 10–90°, by angle:
d 2.886, rel. 100
d 2.356, rel. 7
d 2.041, rel. 28
d 1.666, rel. 42
d 1.443, rel. 18
d 1.291, rel. 19
d 1.178, rel. 6
d 1.091, rel. 24

Cell and atoms:
```
SnHgO3
1.0
4.0815 0.0000 0.0000
0.0000 4.0815 0.0000
0.0000 0.0000 4.0815
Sn Hg O
1 1 3
Direct
0.0000 0.0000 0.0000 Sn
0.5000 0.5000 0.5000 Hg
0.0000 0.0000 0.5000 O
0.0000 0.5000 0.0000 O
0.5000 0.0000 0.0000 O
```

No. 3
The following is a computed X-ray powder pattern of LuRh2. It was derived from a DFT-relaxed cell (PBE, the Materials Project), using CuKα.
Kinematic intensities with the Lorentz-polarization factor, no thermal factor.

Most intense lines, 2θ = 10–90°, by angle:
d 2.648, rel. 45
d 2.258, rel. 100
d 2.162, rel. 25
d 1.529, rel. 17
d 1.441, rel. 32
d 1.324, rel. 25
d 1.142, rel. 11
d 1.129, rel. 9

Cell and atoms:
```
LuRh2
1.0
0.0000 3.7449 3.7449
3.7449 0.0000 3.7449
3.7449 3.7449 0.0000
Lu Rh
2 4
Direct
0.1250 0.1250 0.1250 Lu
0.8750 0.8750 0.8750 Lu
0.0000 0.5000 0.5000 Rh
0.5000 0.0000 0.5000 Rh
0.5000 0.5000 0.0000 Rh
0.5000 0.5000 0.5000 Rh
```

No. 4
The following is a computed X-ray powder pattern of TiCo. It was derived from a DFT-relaxed cell (PBE, the Materials Project), using CuKα.
Kinematic intensities with the Lorentz-polarization factor, no thermal factor.

Most intense lines, 2θ = 10–90°, by angle:
d 2.978, rel. 2
d 2.106, rel. 100
d 1.719, rel. 1
d 1.489, rel. 15
d 1.332, rel. 1
d 1.216, rel. 29

Cell and atoms:
```
TiCo
1.0
2.9781 0.0000 0.0000
0.0000 2.9781 0.0000
0.0000 0.0000 2.9781
Ti Co
1 1
Direct
0.0000 0.0000 0.0000 Ti
0.5000 0.5000 0.5000 Co
```

No. 5
The following is a computed X-ray powder pattern of Te2Mo2WSe4. It was derived from a DFT-relaxed cell (PBE, the Materials Project), using CuKα.
Kinematic intensities with the Lorentz-polarization factor, no thermal factor.

Most intense lines, 2θ = 10–90°, by angle:
d 7.853, rel. 100
d 2.943, rel. 34
d 2.756, rel. 16
d 2.566, rel. 46
d 2.461, rel. 58
d 2.148, rel. 24
d 2.050, rel. 48
d 1.699, rel. 32

Cell and atoms:
```
Te2Mo2WSe4
1.0
3.3984 0.0000 0.0000
-1.6992 2.9431 0.0000
0.0000 0.0000 31.4139
Te Mo W Se
2 2 1 4
Direct
0.0000 0.0000 0.0000 Te
0.0000 0.0000 0.1192 Te
0.0000 0.0000 0.2910 Mo
0.6667 0.3333 0.0596 Mo
0.6667 0.3333 0.5223 W
0.0000 0.0000 0.4696 Se
0.0000 0.0000 0.5749 Se
0.6667 0.3333 0.2385 Se
0.6667 0.3333 0.3434 Se
```

No. 6
The following is a computed X-ray powder pattern of Cr4InCuSe8. It was derived from a DFT-relaxed cell (PBE, the Materials Project), using CuKα.
Kinematic intensities with the Lorentz-polarization factor, no thermal factor.

Most intense lines, 2θ = 10–90°, by angle:
d 3.784, rel. 31
d 3.227, rel. 48
d 3.090, rel. 48
d 2.676, rel. 61
d 2.060, rel. 46
d 1.892, rel. 100
d 1.614, rel. 16
d 1.092, rel. 25

Cell and atoms:
```
Cr4InCuSe8
1.0
0.0000 5.3517 5.3517
5.3517 0.0000 5.3517
5.3517 5.3517 0.0000
Cr In Cu Se
4 1 1 8
Direct
0.3795 0.3795 0.3795 Cr
0.3795 0.3795 0.8616 Cr
0.3795 0.8616 0.3795 Cr
0.8616 0.3795 0.3795 Cr
0.0000 0.0000 0.0000 In
0.7500 0.7500 0.7500 Cu
0.1405 0.1405 0.1405 Se
0.1405 0.1405 0.5785 Se
0.1405 0.5785 0.1405 Se
0.1520 0.6160 0.6160 Se
0.5785 0.1405 0.1405 Se
0.6160 0.1520 0.6160 Se
0.6160 0.6160 0.1520 Se
0.6160 0.6160 0.6160 Se
```

No. 7
The following is a computed X-ray powder pattern of Pm2CoRu. It was derived from a DFT-relaxed cell (PBE, the Materials Project), using CuKα.
Kinematic intensities with the Lorentz-polarization factor, no thermal factor.

Most intense lines, 2θ = 10–90°, by angle:
d 3.476, rel. 10
d 2.458, rel. 100
d 2.007, rel. 3
d 1.738, rel. 17
d 1.555, rel. 4
d 1.419, rel. 35
d 1.229, rel. 11
d 1.099, rel. 16

Cell and atoms:
```
Pm2CoRu
1.0
0.0000 3.4764 3.4764
3.4764 0.0000 3.4764
3.4764 3.4764 0.0000
Pm Co Ru
2 1 1
Direct
0.2500 0.2500 0.2500 Pm
0.7500 0.7500 0.7500 Pm
0.0000 0.0000 0.0000 Co
0.5000 0.5000 0.5000 Ru
```

No. 8
The following is a computed X-ray powder pattern of Sr3Ca. It was derived from a DFT-relaxed cell (PBE, the Materials Project), using CuKα.
Kinematic intensities with the Lorentz-polarization factor, no thermal factor.

Most intense lines, 2θ = 10–90°, by angle:
d 3.410, rel. 100
d 2.958, rel. 34
d 2.943, rel. 17
d 2.092, rel. 13
d 2.086, rel. 25
d 1.783, rel. 30
d 1.776, rel. 15
d 1.705, rel. 13

Cell and atoms:
```
Sr3Ca
1.0
-2.9580 2.9580 5.8865
2.9580 -2.9580 5.8865
2.9580 2.9580 -5.8865
Sr Ca
3 1
Direct
0.0000 0.0000 0.0000 Sr
0.2500 0.7500 0.5000 Sr
0.7500 0.2500 0.5000 Sr
0.5000 0.5000 0.0000 Ca
```